Starting from DFT lattice parameters and positions (PBE), the powder XRD pattern of Ti5InS8 was calculated for Cu Kα X-rays.
Neutral-atom scattering factors, no anomalous dispersion.

Crystal structure
Cell: 17.8896 3.4099 8.8601 Å, 90.00 104.23 90.00°
Space group Cm (No. 8)
Inequivalent atoms, fractional coordinates:
Ti 0.0000 0.0000 0.0000 x2
Ti 0.0473 0.0000 0.3524 x2
Ti 0.1329 0.5000 0.6578 x2
Ti 0.1809 0.5000 0.0119 x2
Ti 0.3393 0.0000 0.0065 x2
In 0.3518 0.5000 0.5276 x2
S 0.0022 0.5000 0.5044 x2
S 0.0808 0.5000 0.1714 x2
S 0.0991 0.0000 0.8397 x2
S 0.1769 0.0000 0.5067 x2
S 0.2518 0.0000 0.1803 x2
S 0.2643 0.5000 0.8368 x2
S 0.4156 0.5000 0.1741 x2
S 0.4273 0.0000 0.8303 x2

Principal peaks in the range 2θ from 15° to 90°, low angle first:
- (4 0 -1), 2θ 20.54, rel. 54
- (0 0 2), 2θ 20.69, rel. 44
- (2 0 2), 2θ 25.33, rel. 30
- (6 0 -2), 2θ 32.82, rel. 53
- (3 1 1), 2θ 33.46, rel. 100
- (3 1 -2), 2θ 34.78, rel. 65
- (3 1 -3), 2θ 41.19, rel. 72
- (6 0 2), 2θ 41.74, rel. 35
- (3 1 3), 2θ 47.01, rel. 33
- (9 1 -1), 2θ 53.36, rel. 57



Starting from DFT lattice parameters and positions (PBE), the powder XRD pattern of TlInS2 was calculated for Cu Kα X-rays.
Neutral-atom scattering factors, no anomalous dispersion.

Crystal structure
Cell: 8.0087 8.0087 6.7681 Å, 90.00 90.00 90.00°
Space group I4/mcm (No. 140)
Inequivalent atoms, fractional coordinates:
Tl 0.0000 0.0000 0.2500 x4
In 0.0000 0.5000 0.2500 x4
S 0.1648 0.3352 0.0000 x8

Principal peaks in the range 2θ from 15° to 90°, low angle first:
- (2 0 0), 2θ 22.20, rel. 100
- (0 0 2), 2θ 26.34, rel. 25
- (2 2 0), 2θ 31.60, rel. 57
- (2 0 2), 2θ 34.71, rel. 99
- (2 2 2), 2θ 41.59, rel. 45
- (4 2 0), 2θ 51.00, rel. 30
- (4 0 2), 2θ 53.15, rel. 29
- (4 2 2), 2θ 58.29, rel. 33
- (4 2 4), 2θ 77.63, rel. 18
- (6 2 2), 2θ 81.09, rel. 17



Starting from DFT lattice parameters and positions (PBE), the powder XRD pattern of TlIn5S8 was calculated for Cu Kα X-rays.
Neutral-atom scattering factors, no anomalous dispersion.

Crystal structure
Cell: 19.3961 3.9089 9.3532 Å, 90.00 102.67 90.00°
Space group Cm (No. 8)
Inequivalent atoms, fractional coordinates:
Tl 0.0000 0.0000 0.0000 x2
In 0.0308 0.5000 0.4807 x2
In 0.1754 0.0000 0.3901 x2
In 0.2413 0.0000 0.8175 x2
In 0.3165 0.5000 0.1438 x2
In 0.3845 0.5000 0.5694 x2
S 0.1006 0.5000 0.2655 x2
S 0.1149 0.0000 0.6057 x2
S 0.1974 0.5000 0.9584 x2
S 0.2674 0.5000 0.6325 x2
S 0.2930 0.0000 0.3278 x2
S 0.3652 0.0000 0.0023 x2
S 0.4455 0.5000 0.3536 x2
S 0.4594 0.0000 0.6942 x2

Principal peaks in the range 2θ from 15° to 90°, low angle first:
- (4 0 -1), 2θ 19.14, rel. 70
- (2 0 2), 2θ 23.43, rel. 100
- (4 0 -2), 2θ 23.94, rel. 35
- (3 1 -1), 2θ 27.49, rel. 88
- (3 1 1), 2θ 29.66, rel. 58
- (1 1 2), 2θ 31.16, rel. 70
- (5 1 1), 2θ 35.92, rel. 79
- (3 1 -3), 2θ 37.72, rel. 47
- (0 2 0), 2θ 46.46, rel. 47
- (9 1 -1), 2θ 48.23, rel. 42



Starting from DFT lattice parameters and positions (PBE), the powder XRD pattern of TlInS2 was calculated for Cu Kα X-rays.
Neutral-atom scattering factors, no anomalous dispersion.

Crystal structure
Cell: 11.1468 11.1594 15.3783 Å, 90.00 100.56 90.00°
Space group C2/c (No. 15)
Inequivalent atoms, fractional coordinates:
Tl 0.0310 0.1875 0.3829 x8
Tl 0.2142 0.4416 0.1195 x8
In 0.0998 0.1887 0.6550 x8
In 0.1498 0.4378 0.8451 x8
S 0.0000 0.0524 0.7500 x4
S 0.0000 0.4267 0.2500 x4
S 0.0483 0.3151 0.9447 x8
S 0.1991 0.0625 0.5555 x8
S 0.2393 0.1870 0.2504 x8

Principal peaks in the range 2θ from 15° to 90°, low angle first:
- (2 2 0), 2θ 22.74, rel. 79
- (0 0 4), 2θ 23.54, rel. 48
- (1 3 0), 2θ 25.29, rel. 50
- (3 1 0), 2θ 25.65, rel. 33
- (2 2 -4), 2θ 30.70, rel. 100
- (3 1 -4), 2θ 31.83, rel. 33
- (1 3 -4), 2θ 33.78, rel. 30
- (4 4 -1), 2θ 46.03, rel. 40
- (4 4 3), 2θ 52.34, rel. 23
- (2 6 3), 2θ 56.33, rel. 28



Starting from DFT lattice parameters and positions (PBE), the powder XRD pattern of TlInS2 was calculated for Cu Kα X-rays.
Neutral-atom scattering factors, no anomalous dispersion.

Crystal structure
Cell: 4.1328 5.0897 6.1648 Å, 96.20 102.58 103.46°
Space group P1 (No. 1)
Inequivalent atoms, fractional coordinates:
Tl 0.0000 0.0000 0.0000 x1
In 0.7806 0.4750 0.4171 x1
S 0.3741 0.4966 0.7435 x1
S 0.4061 0.0958 0.6479 x1

Principal peaks in the range 2θ from 15° to 90°, low angle first:
- (0 1 -1), 2θ 21.56, rel. 100
- (1 0 0), 2θ 22.86, rel. 37
- (1 -1 0), 2θ 25.23, rel. 39
- (0 1 1), 2θ 25.50, rel. 79
- (-1 1 1), 2θ 27.99, rel. 64
- (1 0 1), 2θ 30.48, rel. 60
- (1 1 -1), 2θ 32.40, rel. 49
- (1 0 -2), 2θ 33.05, rel. 79
- (0 2 0), 2θ 36.83, rel. 43
- (1 -2 0), 2θ 38.02, rel. 32



Starting from DFT lattice parameters and positions (PBE), the powder XRD pattern of TlInS2 was calculated for Cu Kα X-rays.
Neutral-atom scattering factors, no anomalous dispersion.

Crystal structure
Cell: 3.9095 3.9095 22.5886 Å, 90.00 90.00 120.00°
Space group R-3m (No. 166, hexagonal axes)
Inequivalent atoms, fractional coordinates:
Tl 0.0000 0.0000 0.0000 x3
In 0.0000 0.0000 0.5000 x3
S 0.0000 0.0000 0.2307 x6

Principal peaks in the range 2θ from 15° to 90°, low angle first:
- (0 0 6), 2θ 23.63, rel. 32
- (0 1 2), 2θ 27.50, rel. 59
- (1 0 4), 2θ 30.79, rel. 100
- (0 1 8), 2θ 41.65, rel. 39
- (1 1 0), 2θ 46.45, rel. 33
- (0 0 12), 2θ 48.42, rel. 25
- (1 1 6), 2θ 52.77, rel. 23
- (0 2 4), 2θ 56.77, rel. 17
- (1 1 12), 2θ 69.32, rel. 20
- (2 1 4), 2θ 76.30, rel. 14



Starting from DFT lattice parameters and positions (PBE), the powder XRD pattern of TlIn5S6 was calculated for Cu Kα X-rays.
Neutral-atom scattering factors, no anomalous dispersion.

Crystal structure
Cell: 8.9411 3.9844 17.8762 Å, 90.00 94.95 90.00°
Space group P2_1/m (No. 11)
Inequivalent atoms, fractional coordinates:
Tl 0.1248 0.2500 0.2155 x2
In 0.1575 0.7500 0.4556 x2
In 0.1954 0.2500 0.0045 x2
In 0.2659 0.7500 0.6853 x2
In 0.3865 0.2500 0.8859 x2
In 0.4655 0.2500 0.3834 x2
S 0.0336 0.7500 0.5864 x2
S 0.0947 0.7500 0.0740 x2
S 0.1941 0.2500 0.7651 x2
S 0.2977 0.7500 0.3324 x2
S 0.3368 0.2500 0.5050 x2
S 0.4480 0.2500 0.1318 x2

Principal peaks in the range 2θ from 15° to 90°, low angle first:
- (1 0 4), 2θ 23.09, rel. 100
- (1 1 1), 2θ 25.16, rel. 55
- (1 0 -5), 2θ 26.13, rel. 43
- (2 0 -4), 2θ 27.07, rel. 31
- (2 1 2), 2θ 32.32, rel. 37
- (2 1 -4), 2θ 35.35, rel. 50
- (0 1 6), 2θ 37.78, rel. 48
- (0 2 0), 2θ 45.53, rel. 37
- (1 1 -8), 2θ 47.13, rel. 38
- (4 1 -3), 2θ 48.15, rel. 30



Starting from DFT lattice parameters and positions (PBE), the powder XRD pattern of TlInS2 was calculated for Cu Kα X-rays.
Neutral-atom scattering factors, no anomalous dispersion.

Crystal structure
Cell: 7.0781 6.0529 6.5278 Å, 90.00 119.53 90.00°
Space group C2/m (No. 12)
Inequivalent atoms, fractional coordinates:
Tl 0.0000 0.0000 0.0000 x2
In 0.0000 0.0000 0.5000 x2
S 0.0123 0.5000 0.1670 x4

Principal peaks in the range 2θ from 15° to 90°, low angle first:
- (1 1 0), 2θ 20.57, rel. 100
- (2 0 0), 2θ 29.00, rel. 53
- (0 2 0), 2θ 29.51, rel. 51
- (2 0 -2), 2θ 30.54, rel. 27
- (1 1 -2), 2θ 31.15, rel. 72
- (0 0 2), 2θ 31.50, rel. 23
- (2 2 0), 2θ 41.85, rel. 39
- (3 1 -2), 2θ 42.34, rel. 29
- (1 1 2), 2θ 43.76, rel. 49
- (0 4 0), 2θ 61.29, rel. 27



Starting from DFT lattice parameters and positions (PBE), the powder XRD pattern of TlInS2 was calculated for Cu Kα X-rays.
Neutral-atom scattering factors, no anomalous dispersion.

Crystal structure
Cell: 7.8920 5.8250 6.6334 Å, 90.00 118.74 90.00°
Space group C2/m (No. 12)
Inequivalent atoms, fractional coordinates:
Tl 0.0000 0.0000 0.0000 x2
In 0.0000 0.0000 0.5000 x2
S 0.0837 0.5000 0.1828 x4

Principal peaks in the range 2θ from 15° to 90°, low angle first:
- (1 1 0), 2θ 19.92, rel. 100
- (2 0 0), 2θ 25.75, rel. 52
- (2 0 -2), 2θ 29.10, rel. 35
- (0 2 0), 2θ 30.71, rel. 60
- (1 1 -2), 2θ 31.09, rel. 57
- (2 2 0), 2θ 40.48, rel. 31
- (1 1 2), 2θ 42.03, rel. 33
- (3 1 0), 2θ 42.14, rel. 23
- (2 2 -2), 2θ 42.81, rel. 25
- (1 3 2), 2θ 62.47, rel. 23



Starting from DFT lattice parameters and positions (PBE), the powder XRD pattern of TlInS2 was calculated for Cu Kα X-rays.
Neutral-atom scattering factors, no anomalous dispersion.

Crystal structure
Cell: 3.9085 3.9085 15.0317 Å, 90.00 90.00 120.00°
Space group P6_3/mmc (No. 194)
Inequivalent atoms, fractional coordinates:
Tl 0.3333 0.6667 0.2500 x2
In 0.0000 0.0000 0.0000 x2
S 0.3333 0.6667 0.5963 x4

Principal peaks in the range 2θ from 15° to 90°, low angle first:
- (0 0 4), 2θ 23.68, rel. 45
- (1 0 1), 2θ 27.00, rel. 54
- (1 0 2), 2θ 28.93, rel. 100
- (1 0 3), 2θ 31.91, rel. 97
- (1 0 5), 2θ 40.12, rel. 28
- (1 0 6), 2θ 45.02, rel. 43
- (1 1 0), 2θ 46.47, rel. 47
- (1 1 4), 2θ 52.80, rel. 33
- (2 0 3), 2θ 57.47, rel. 18
- (1 1 8), 2θ 69.38, rel. 21



Starting from DFT lattice parameters and positions (PBE), the powder XRD pattern of TlIn5S8 was calculated for Cu Kα X-rays.
Neutral-atom scattering factors, no anomalous dispersion.

Crystal structure
Cell: 4.1181 9.3867 9.6881 Å, 104.80 101.55 90.02°
Space group P1 (No. 1)
Inequivalent atoms, fractional coordinates:
Tl 0.0000 0.0000 0.0000 x1
In 0.0968 0.4329 0.2242 x1
In 0.1857 0.8522 0.3656 x1
In 0.4646 0.5189 0.9329 x1
In 0.7505 0.1815 0.5104 x1
In 0.8366 0.6019 0.6403 x1
S 0.0533 0.6459 0.1091 x1
S 0.2134 0.3679 0.4554 x1
S 0.2940 0.0512 0.6007 x1
S 0.4048 0.7238 0.7992 x1
S 0.5258 0.3132 0.0682 x1
S 0.6326 0.9886 0.2634 x1
S 0.7072 0.6766 0.4132 x1
S 0.8766 0.3931 0.7599 x1

Principal peaks in the range 2θ from 15° to 90°, low angle first:
- (0 1 -2), 2θ 19.31, rel. 98
- (0 2 0), 2θ 19.59, rel. 38
- (0 2 1), 2θ 24.07, rel. 100
- (1 -1 1), 2θ 26.39, rel. 56
- (1 1 -2), 2θ 26.65, rel. 50
- (1 2 0), 2θ 30.49, rel. 56
- (-1 2 1), 2θ 30.69, rel. 55
- (1 1 2), 2θ 35.88, rel. 59
- (2 0 -1), 2θ 43.98, rel. 62
- (1 -5 0), 2θ 54.33, rel. 40



Starting from DFT lattice parameters and positions (PBE), the powder XRD pattern of Zn2In2S5 was calculated for Cu Kα X-rays.
Neutral-atom scattering factors, no anomalous dispersion.

Crystal structure
Cell: 3.9220 3.9220 46.8973 Å, 90.00 90.00 120.00°
Space group R3m (No. 160, hexagonal axes)
Inequivalent atoms, fractional coordinates:
Zn 0.0000 0.0000 0.0000 x3
Zn 0.0000 0.0000 0.1711 x3
In 0.0000 0.0000 0.5843 x3
In 0.0000 0.0000 0.7659 x3
S 0.0000 0.0000 0.0770 x3
S 0.0000 0.0000 0.2190 x3
S 0.0000 0.0000 0.6800 x3
S 0.0000 0.0000 0.8193 x3
S 0.0000 0.0000 0.9452 x3

Principal peaks in the range 2θ from 15° to 90°, low angle first:
- (0 0 12), 2θ 22.75, rel. 65
- (1 0 1), 2θ 26.31, rel. 30
- (0 1 2), 2θ 26.52, rel. 31
- (0 1 5), 2θ 27.94, rel. 100
- (1 0 10), 2θ 32.55, rel. 46
- (0 1 17), 2θ 42.20, rel. 45
- (1 1 0), 2θ 46.30, rel. 69
- (1 0 22), 2θ 50.55, rel. 38
- (1 1 12), 2θ 52.19, rel. 39
- (2 1 22), 2θ 89.01, rel. 15



Starting from DFT lattice parameters and positions (PBE), the powder XRD pattern of Zn4InS6 was calculated for Cu Kα X-rays.
Neutral-atom scattering factors, no anomalous dispersion.

Crystal structure
Cell: 3.8493 3.8493 18.5920 Å, 90.00 90.00 120.00°
Space group P-3m1 (No. 164)
Inequivalent atoms, fractional coordinates:
Zn 0.3333 0.6667 0.1254 x2
Zn 0.3333 0.6667 0.7024 x2
In 0.0000 0.0000 0.5000 x1
S 0.3333 0.6667 0.2554 x2
S 0.3333 0.6667 0.5762 x2
S 0.3333 0.6667 0.9145 x2

Principal peaks in the range 2θ from 15° to 90°, low angle first:
- (0 0 5), 2θ 23.93, rel. 58
- (0 1 1), 2θ 27.18, rel. 37
- (0 1 2), 2θ 28.44, rel. 100
- (0 1 3), 2θ 30.45, rel. 18
- (1 0 4), 2θ 33.07, rel. 37
- (0 1 6), 2θ 39.71, rel. 24
- (0 1 7), 2θ 43.57, rel. 40
- (1 1 0), 2θ 47.22, rel. 65
- (1 0 9), 2θ 52.08, rel. 40
- (1 1 5), 2θ 53.62, rel. 36